[1]
MgZr3: simulated X-ray diffraction stick pattern (CuKα), based on a cell relaxed with GGA-PBE.
Kinematic intensities with the Lorentz-polarization factor, no thermal factor.

Most intense lines, 10° ≤ 2θ ≤ 90°, by intensity:
34.22 deg, rel. 1000
34.96 deg, rel. 944
39.07 deg, rel. 688
58.90 deg, rel. 399
13.35 deg, rel. 285
42.25 deg, rel. 275
67.23 deg, rel. 267
68.60 deg, rel. 248
72.09 deg, rel. 212
55.42 deg, rel. 120

Cell and atoms:
```
MgZr3
1.0
3.208 0.000 0.000
0.000 4.278 0.000
0.000 0.000 6.631
Mg Zr
1 3
Direct
0.000 0.000 0.000
0.000 0.000 0.500
0.500 0.500 0.255
0.500 0.500 0.745
```



[2]
Li2GeBiO4: simulated X-ray diffraction stick pattern (CuKα), based on a cell relaxed with GGA-PBE.
Kinematic intensities with the Lorentz-polarization factor, no thermal factor.

Most intense lines, 10° ≤ 2θ ≤ 90°, by intensity:
20.63 deg, rel. 1000
23.64 deg, rel. 987
33.99 deg, rel. 948
23.88 deg, rel. 940
41.97 deg, rel. 831
24.07 deg, rel. 697
34.17 deg, rel. 635
33.85 deg, rel. 593
40.36 deg, rel. 395
54.69 deg, rel. 353

Cell and atoms:
```
Li2GeBiO4
1.0
0.000 3.764 3.697
3.726 0.000 3.697
3.726 3.764 0.000
Li Ge Bi O
2 1 1 4
Direct
0.000 0.000 0.500
0.500 0.500 0.000
0.256 0.256 0.744
0.707 0.707 0.293
0.228 0.597 0.403
0.309 0.919 0.691
0.597 0.228 0.772
0.919 0.309 0.081
```